For Ac2TbMgHg6, DFT lattice parameters and positions (GGA-PBE) gives the simulated PXRD pattern in this record (Cu Kα (weighted mean of Kα1 and Kα2)).
Intensities are scaled so that the largest is 100.

Atomic structure:
Lattice parameters (Å, degrees): 4.539 8.157 8.223 114.07 90.27 90.18
Fractional coordinates of all 10 atoms:
Ac 0.008 0.221 0.278
Ac 0.992 0.779 0.722
Tb 0.000 0.500 0.000
Mg 0.500 0.000 0.500
Hg 0.004 0.177 0.674
Hg 0.492 0.834 0.058
Hg 0.498 0.557 0.333
Hg 0.502 0.443 0.667
Hg 0.508 0.166 0.942
Hg 0.996 0.823 0.326

The 12 most intense peaks (10° ≤ 2θ ≤ 80°), by intensity:
32.70 deg, I = 100
39.71 deg, I = 34
27.96 deg, I = 24
35.88 deg, I = 23
36.18 deg, I = 23
36.86 deg, I = 22
28.16 deg, I = 21
29.50 deg, I = 15
30.99 deg, I = 15
36.57 deg, I = 12
33.06 deg, I = 12
67.66 deg, I = 11

For Nd2Cd4InPb2, DFT lattice parameters and positions (GGA-PBE) gives the simulated PXRD pattern in this record (Cu Kα (weighted mean of Kα1 and Kα2)).
Intensities are scaled so that the largest is 100.

Atomic structure:
Lattice parameters (Å, degrees): 7.370 7.370 7.370 124.71 124.71 82.02
Fractional coordinates of all 9 atoms:
Nd 0.226 0.226 0.000
Nd 0.774 0.774 0.000
Cd 0.217 0.217 0.435
Cd 0.217 0.783 0.000
Cd 0.783 0.217 0.000
Cd 0.783 0.783 0.565
In 0.500 0.500 0.000
Pb 0.250 0.750 0.500
Pb 0.750 0.250 0.500

The 12 most intense peaks (10° ≤ 2θ ≤ 80°), by intensity:
30.69 deg, I = 100
37.18 deg, I = 44
49.98 deg, I = 35
32.19 deg, I = 34
63.04 deg, I = 19
56.46 deg, I = 15
63.91 deg, I = 14
53.60 deg, I = 14
24.39 deg, I = 13
38.14 deg, I = 12
26.06 deg, I = 12
46.78 deg, I = 8

For CeAgHgPb, DFT lattice parameters and positions (GGA-PBE) gives the simulated PXRD pattern in this record (Cu Kα (weighted mean of Kα1 and Kα2)).
Intensities are scaled so that the largest is 100.

Atomic structure:
Lattice parameters (Å, degrees): 5.621 5.621 5.621 129.66 129.66 73.94
Fractional coordinates of all 4 atoms:
Ce 0.000 0.000 0.000
Ag 0.750 0.250 0.500
Hg 0.250 0.750 0.500
Pb 0.500 0.500 0.000

The 12 most intense peaks (10° ≤ 2θ ≤ 80°), by intensity:
33.17 deg, I = 100
37.63 deg, I = 36
65.11 deg, I = 29
56.21 deg, I = 22
40.16 deg, I = 15
54.27 deg, I = 12
68.56 deg, I = 12
69.63 deg, I = 12
21.05 deg, I = 8
43.51 deg, I = 3
35.38 deg, I = 2
52.60 deg, I = 2

For NaMn5S8, DFT lattice parameters and positions (GGA-PBE) gives the simulated PXRD pattern in this record (Cu Kα (weighted mean of Kα1 and Kα2)).
Intensities are scaled so that the largest is 100.

Atomic structure:
Lattice parameters (Å, degrees): 8.960 8.960 8.235 105.45 105.45 21.67
Fractional coordinates of all 14 atoms:
Na 0.000 0.000 0.000
Mn 0.156 0.156 0.480
Mn 0.206 0.206 0.836
Mn 0.501 0.501 0.500
Mn 0.796 0.796 0.164
Mn 0.846 0.846 0.519
S 0.075 0.075 0.664
S 0.262 0.262 0.342
S 0.333 0.333 0.007
S 0.421 0.421 0.688
S 0.581 0.581 0.312
S 0.669 0.669 0.992
S 0.740 0.740 0.658
S 0.927 0.927 0.336

The 12 most intense peaks (10° ≤ 2θ ≤ 80°), by intensity:
11.16 deg, I = 100
34.44 deg, I = 99
13.06 deg, I = 70
43.04 deg, I = 66
54.26 deg, I = 64
10.44 deg, I = 58
33.61 deg, I = 42
41.10 deg, I = 37
54.48 deg, I = 35
44.14 deg, I = 32
49.87 deg, I = 32
20.93 deg, I = 28